# PrFeSb2
Simulated powder diffraction line list, a wavelength of 1.5418 Å. Input: a structure optimized by DFT (GGA-PBE).
Kinematic intensities with the Lorentz-polarization factor, no thermal factor.

Crystal structure
Lattice parameters (Å, degrees): 4.393 4.393 9.938 90.00 90.00 90.00
Space group P4/nmm (No. 129, origin choice 2)
Asymmetric unit:
Pr (0.250, 0.250, 0.245) x2
Fe (0.250, 0.750, 0.000) x2
Sb (0.250, 0.250, 0.867) x2
Sb (0.250, 0.750, 0.500) x2

Peak list (10 most intense, 2θ from 15° to 90°, in order of rising 2θ)
two_theta	intensity
27.09	20
30.14	27
33.89	41
34.03	100
41.09	52
50.39	17
54.28	21
59.51	17
66.97	15
70.35	28